(1)
Diffraction record for CaPd7Au12. The powder diffractogram is computed, not measured: it uses a structure optimized by DFT (PBE) and Cu Kα.
Neutral-atom scattering factors, no anomalous dispersion.

Cell and atoms:
```
CaPd7Au12
1.0
-4.870 4.870 4.870
4.870 -4.870 4.870
4.870 4.870 -4.870
Ca Pd Au
1 7 12
Direct
0.000 0.000 0.000 Ca
0.000 0.000 0.500 Pd
0.000 0.500 0.000 Pd
0.000 0.500 0.500 Pd
0.500 0.000 0.000 Pd
0.500 0.000 0.500 Pd
0.500 0.500 0.000 Pd
0.500 0.500 0.500 Pd
0.121 0.268 0.852 Au
0.148 0.416 0.268 Au
0.148 0.879 0.732 Au
0.268 0.148 0.416 Au
0.268 0.852 0.121 Au
0.416 0.268 0.148 Au
0.584 0.732 0.852 Au
0.732 0.148 0.879 Au
0.732 0.852 0.584 Au
0.852 0.121 0.268 Au
0.852 0.584 0.732 Au
0.879 0.732 0.148 Au
```

Main lines, low angle first (2θ from 5° to 70°):
2θ 12.9, 6.887 Å, I 28; 2θ 22.4, 3.976 Å, I 74; 2θ 29.0, 3.080 Å, I 72; 2θ 34.5, 2.603 Å, I 80; 2θ 36.9, 2.435 Å, I 45; 2θ 39.2, 2.296 Å, I 26; 2θ 41.5, 2.178 Å, I 100; 2θ 45.6, 1.988 Å, I 80; 2θ 55.0, 1.670 Å, I 53; 2θ 69.6, 1.351 Å, I 20


(2)
Diffraction record for Ca4Pd3Au2. The powder diffractogram is computed, not measured: it uses a structure optimized by DFT (PBE) and Cu Kα.
Neutral-atom scattering factors, no anomalous dispersion.

Cell and atoms:
```
Ca4Pd3Au2
1.0
4.861 0.000 0.000
-2.431 4.210 0.000
0.000 0.000 9.910
Ca Pd Au
4 3 2
Direct
0.000 0.000 0.161 Ca
0.000 0.000 0.839 Ca
0.333 0.667 0.607 Ca
0.667 0.333 0.393 Ca
0.000 0.000 0.500 Pd
0.333 0.667 0.006 Pd
0.667 0.333 0.994 Pd
0.333 0.667 0.294 Au
0.667 0.333 0.706 Au
```

Main lines, low angle first (2θ from 5° to 70°):
2θ 23.0, 3.875 Å, I 76; 2θ 34.5, 2.599 Å, I 89; 2θ 37.0, 2.431 Å, I 100; 2θ 42.3, 2.135 Å, I 25; 2θ 44.0, 2.059 Å, I 15; 2θ 46.4, 1.958 Å, I 17; 2θ 51.5, 1.775 Å, I 28; 2θ 52.8, 1.735 Å, I 13; 2θ 65.1, 1.434 Å, I 27; 2θ 66.6, 1.403 Å, I 17